[1]
# Tb2YAl7Cu2
Theoretical PXRD pattern, Cu Kα. Input: the PBE geometry in OQMD.

Top 12 peaks for 15 to 90 degrees two-theta, low angle first:
19.0 deg, I 25.4
21.0 deg, I 26.3
23.3 deg, I 36.2
31.0 deg, I 46.3
32.6 deg, I 89.4
33.9 deg, I 28.5
38.0 deg, I 24.3
39.1 deg, I 100.0
40.5 deg, I 17.5
62.5 deg, I 24.2
64.5 deg, I 25.9
68.2 deg, I 20.3

Structure:
```
data_Tb2YAl7Cu2
_chemical_formula_sum 'Tb6 Y3 Al21 Cu6'
_space_group_name_H-M_alt 'R -3 m'
_space_group_IT_number 166
_space_group_name_Hall '-R 3 2"'
_cell_length_a 5.4977
_cell_length_b 5.4977
_cell_length_c 25.4387
_cell_angle_alpha 90.00
_cell_angle_beta 90.00
_cell_angle_gamma 120.00
loop_
_atom_site_label
_atom_site_fract_x
_atom_site_fract_y
_atom_site_fract_z
_atom_site_occupancy
Tb1 0.0000 0.0000 0.1420 1
Y1 0.0000 0.0000 0.0000 1
Al1 0.0000 0.0000 0.5000 1
Al2 0.0063 0.5032 0.9214 1
Cu1 0.0000 0.0000 0.3354 1
```

---

[2]
# Sn2Ge2Pd3
Theoretical PXRD pattern, Cu Kα. Input: the PBE geometry in OQMD.

Top 12 peaks for 15 to 90 degrees two-theta, low angle first:
22.9 deg, I 8.1
23.9 deg, I 14.0
30.1 deg, I 7.5
36.1 deg, I 7.8
39.4 deg, I 98.2
39.5 deg, I 100.0
46.7 deg, I 7.8
57.0 deg, I 33.2
71.3 deg, I 15.6
71.6 deg, I 50.9
84.7 deg, I 10.0
85.1 deg, I 11.2

Structure:
```
data_Sn2Ge2Pd3
_chemical_formula_sum 'Sn6 Ge6 Pd9'
_space_group_name_H-M_alt 'R 3 m'
_space_group_IT_number 160
_space_group_name_Hall 'R 3 -2"'
_cell_length_a 4.5603
_cell_length_b 4.5603
_cell_length_c 22.4590
_cell_angle_alpha 90.00
_cell_angle_beta 90.00
_cell_angle_gamma 120.00
loop_
_atom_site_label
_atom_site_fract_x
_atom_site_fract_y
_atom_site_fract_z
_atom_site_occupancy
Sn1 0.0000 0.0000 0.0000 1
Sn2 0.0000 0.0000 0.4913 1
Ge1 0.0000 0.0000 0.2396 1
Ge2 0.0000 0.0000 0.7483 1
Pd1 0.0000 0.0000 0.3689 1
Pd2 0.0000 0.0000 0.6192 1
Pd3 0.0000 0.0000 0.8714 1
```

---

[3]
# PmLuNO
Theoretical PXRD pattern, Cu Kα. Input: the PBE geometry in OQMD.

Top 12 peaks for 15 to 90 degrees two-theta, low angle first:
25.6 deg, I 38.5
26.3 deg, I 21.5
31.5 deg, I 100.0
32.0 deg, I 44.6
36.4 deg, I 32.4
44.7 deg, I 18.0
45.1 deg, I 16.5
46.0 deg, I 32.2
56.1 deg, I 19.2
59.0 deg, I 15.6
60.0 deg, I 28.6
62.5 deg, I 15.0

Structure:
```
data_PmLuNO
_chemical_formula_sum 'Pm2 Lu2 N2 O2'
_space_group_name_H-M_alt 'P m c 21'
_space_group_IT_number 26
_cell_length_a 4.051
_cell_length_b 6.783
_cell_length_c 4.933
_cell_angle_alpha 90.00
_cell_angle_beta 90.00
_cell_angle_gamma 90.00
loop_
_space_group_symop_operation_xyz
'x,y,z'
'-x,-y,z+1/2'
'-x,y,z'
'x,-y,z+1/2'
loop_
_atom_site_label
_atom_site_fract_x
_atom_site_fract_y
_atom_site_fract_z
_atom_site_occupancy
Pm1 0.000 0.163 0.000 1
Lu1 0.500 0.324 0.502 1
N1 0.000 0.195 0.500 1
O1 0.500 0.354 0.997 1
```

---

Q: Number 1 is which compound?
A: Tb2YAl7Cu2